Calculated PXRD pattern of ZrScRu2 for copper Kα, from the GGA-PBE geometry in the Materials Project.
Neutral-atom scattering factors, no anomalous dispersion.

Most intense lines, 2θ from 10° to 80°, sorted by position:
d 3.750, I = 4.9, hkl 1 1 1
d 3.247, I = 5.1, hkl 2 0 0
d 2.296, I = 100.0, hkl 2 2 0
d 1.958, I = 2.5, hkl 3 1 1
d 1.875, I = 1.5, hkl 2 2 2
d 1.624, I = 16.5, hkl 4 0 0
d 1.490, I = 1.1, hkl 3 3 1
d 1.452, I = 2.0, hkl 4 2 0
d 1.326, I = 32.6, hkl 4 2 2
d 1.250, I = 0.8, hkl 5 1 1

Structure:
```
ZrScRu2
1.0
6.4945 0.0000 0.0000
0.0000 6.4945 0.0000
0.0000 0.0000 6.4945
Zr Sc Ru
4 4 8
Cartesian
0.0000 0.0000 0.0000
0.0000 3.2473 3.2473
3.2473 0.0000 3.2473
3.2473 3.2473 0.0000
0.0000 0.0000 3.2473
0.0000 3.2473 0.0000
3.2473 0.0000 0.0000
3.2473 3.2473 3.2473
1.6236 1.6236 1.6236
1.6236 1.6236 4.8709
1.6236 4.8709 1.6236
1.6236 4.8709 4.8709
4.8709 1.6236 1.6236
4.8709 1.6236 4.8709
4.8709 4.8709 1.6236
4.8709 4.8709 4.8709
```